NpTc2Mo: theoretical X-ray powder pattern (copper Kα), based on DFT lattice parameters and positions (GGA-PBE).
Intensities are scaled so that the largest is 100.

```
data_NpTc2Mo
_chemical_formula_sum 'Np1 Tc2 Mo1'
_cell_length_a 3.1034
_cell_length_b 3.1034
_cell_length_c 7.0237
_cell_angle_alpha 90.00
_cell_angle_beta 90.00
_cell_angle_gamma 90.00
_space_group_name_H-M_alt 'P 4/m m m'
_space_group_IT_number 123
_space_group_name_Hall '-P 4 2'
loop_
_atom_site_label
_atom_site_type_symbol
_atom_site_fract_x
_atom_site_fract_y
_atom_site_fract_z
Np1 Np 0.0000 0.0000 0.0000
Tc1 Tc 0.5000 0.5000 0.2778
Mo1 Mo 0.0000 0.0000 0.5000
```

Principal peaks in the range 5° ≤ 2θ ≤ 70°, by intensity:
2θ/deg  I/Imax
38.72  100
41.14  44
31.52  18
68.43  16
59.58  15
12.60  11